For LuV2Fe10, a PBE-relaxed structure gives the theoretical powder XRD pattern in this record (a wavelength of 1.5418 Å).
Kinematic intensities with the Lorentz-polarization factor, no thermal factor.

Structure:
```
data_LuV2Fe10
_symmetry_space_group_name_H-M 'I m m m'
_symmetry_Int_Tables_number 71
_symmetry_space_group_name_Hall '-I 2 2'
_cell_length_a 4.6745
_cell_length_b 8.3634
_cell_length_c 8.4480
_cell_angle_alpha 90.00
_cell_angle_beta 90.00
_cell_angle_gamma 90.00
loop_
_atom_site_label
_atom_site_type_symbol
_atom_site_fract_x
_atom_site_fract_y
_atom_site_fract_z
Lu1 Lu 0.0000 0.0000 0.0000
V1 V 0.0000 0.0000 0.3583
Fe1 Fe 0.0000 0.2784 0.5000
Fe2 Fe 0.0000 0.3579 0.0000
Fe3 Fe 0.0000 0.5000 0.2747
Fe4 Fe 0.2500 0.2500 0.2500
```

Peak list (10 most intense, 15 to 90 degrees two-theta, sorted by position)
d (Å), two_theta, I_rel
2.935, 30.46, 30
2.924, 30.57, 32
2.412, 37.28, 30
2.394, 37.57, 31
2.112, 42.82, 43
2.090, 43.29, 100
2.083, 43.44, 73
2.045, 44.29, 48
2.040, 44.40, 44
1.837, 49.62, 27



For Mg3Fe, a PBE-relaxed structure gives the theoretical powder XRD pattern in this record (a wavelength of 1.5418 Å).
Kinematic intensities with the Lorentz-polarization factor, no thermal factor.

Structure:
```
data_Mg3Fe
_symmetry_space_group_name_H-M 'C 1 2/m 1'
_symmetry_Int_Tables_number 12
_cell_length_a 10.8094
_cell_length_b 3.1297
_cell_length_c 4.8131
_cell_angle_alpha 90.00
_cell_angle_beta 114.50
_cell_angle_gamma 90.00
loop_
_symmetry_equiv_pos_as_xyz
'x,y,z'
'-x,-y,-z'
'-x,y,-z'
'x,-y,z'
'x+1/2,y+1/2,z'
'-x+1/2,-y+1/2,-z'
'-x+1/2,y+1/2,-z'
'x+1/2,-y+1/2,z'
loop_
_atom_site_label
_atom_site_type_symbol
_atom_site_fract_x
_atom_site_fract_y
_atom_site_fract_z
Mg1 Mg 0.0000 0.0000 0.0000
Mg2 Mg 0.2221 0.0000 0.7223
Fe1 Fe 0.0000 0.5000 0.5000
```

Peak list (10 most intense, 15 to 90 degrees two-theta, sorted by position)
d (Å), two_theta, I_rel
4.918, 18.04, 27
4.380, 20.28, 28
4.265, 20.83, 26
2.459, 36.54, 51
2.405, 37.39, 57
2.332, 38.60, 100
2.297, 39.22, 95
2.264, 39.82, 18
1.749, 52.31, 17
1.382, 67.83, 17



For Mg15Fe, a PBE-relaxed structure gives the theoretical powder XRD pattern in this record (a wavelength of 1.5418 Å).
Kinematic intensities with the Lorentz-polarization factor, no thermal factor.

Structure:
```
data_Mg15Fe
_symmetry_space_group_name_H-M 'P -6 m 2'
_symmetry_Int_Tables_number 187
_symmetry_space_group_name_Hall 'P -6 2'
_cell_length_a 6.2572
_cell_length_b 6.2572
_cell_length_c 10.2161
_cell_angle_alpha 90.00
_cell_angle_beta 90.00
_cell_angle_gamma 120.00
loop_
_atom_site_label
_atom_site_type_symbol
_atom_site_fract_x
_atom_site_fract_y
_atom_site_fract_z
Mg1 Mg 0.0000 0.0000 0.0000
Mg2 Mg 0.0042 0.5021 0.0000
Mg3 Mg 0.1620 0.3239 0.2623
Mg4 Mg 0.5022 0.0044 0.5000
Mg5 Mg 0.6667 0.3333 0.2465
Fe1 Fe 0.0000 0.0000 0.5000
```

Peak list (10 most intense, 15 to 90 degrees two-theta, sorted by position)
d (Å), two_theta, I_rel
5.419, 16.36, 4
4.787, 18.53, 6
2.709, 33.06, 24
2.554, 35.14, 26
2.394, 37.58, 100
1.858, 49.01, 15
1.564, 59.05, 17
1.442, 64.65, 18
1.334, 70.61, 18
1.309, 72.13, 13



For Mg3Fe5, a PBE-relaxed structure gives the theoretical powder XRD pattern in this record (a wavelength of 1.5418 Å).
Kinematic intensities with the Lorentz-polarization factor, no thermal factor.

Structure:
```
data_Mg3Fe5
_symmetry_space_group_name_H-M 'C m m m'
_symmetry_Int_Tables_number 65
_symmetry_space_group_name_Hall '-C 2 2'
_cell_length_a 7.7314
_cell_length_b 7.8704
_cell_length_c 3.6731
_cell_angle_alpha 90.00
_cell_angle_beta 90.00
_cell_angle_gamma 90.00
loop_
_atom_site_label
_atom_site_type_symbol
_atom_site_fract_x
_atom_site_fract_y
_atom_site_fract_z
Mg1 Mg 0.0000 0.0000 0.0000
Mg2 Mg 0.0000 0.2587 0.5000
Fe1 Fe 0.0000 0.5000 0.0000
Fe2 Fe 0.2374 0.5000 0.5000
Fe3 Fe 0.2500 0.2500 0.0000
```

Peak list (10 most intense, 15 to 90 degrees two-theta, sorted by position)
d (Å), two_theta, I_rel
2.205, 40.92, 100
1.968, 46.13, 17
1.933, 47.01, 16
1.837, 49.64, 14
1.379, 67.99, 10
1.343, 70.09, 9
1.177, 81.86, 11
1.162, 83.15, 10
1.119, 87.09, 10
1.103, 88.71, 9